This entry pairs a crystal structure of Al with its calculated powder diffractogram. Radiation: CuKα. Structure: a DFT-relaxed cell (PBE, Alexandria).
Peak positions follow from Bragg's law for the DFT cell and can differ from measured ones.

```
3
Lattice="-1.398 2.466 3.793 1.398 -2.466 3.793 1.398 2.466 -3.793" Properties=species:S:1:pos:R:3 pbc="T T T"
Al 0.000 0.000 0.000
Al 1.398 0.000 2.404
Al 0.000 2.466 1.389
```

Most intense lines, 2θ = 5–70°, low angle first:
| Position (°2θ) | I_rel |
| --- | --- |
| 34.2 | 62 |
| 36.4 | 70 |
| 40.1 | 100 |
| 44.2 | 96 |
| 50.8 | 39 |
| 68.0 | 20 |